[1]
Diffraction record for CsPdRuBr6. The powder XRD pattern is theoretical, not measured: it uses the GGA-PBE geometry in Alexandria and Cu Kα (weighted mean of Kα1 and Kα2).
No peak broadening, texture or thermal motion is included.

Most intense lines, 2θ = 5–70°, most intense first:
d [Å]  2θ (°)  I_rel  h k l
2.613  34.32  100  2 -1 2
4.772  18.59  92  1 0 1
8.239  10.74  79  0 0 1
3.127  28.55  64  1 1 1
1.951  46.54  40  3 0 0
1.759  51.99  29  1 1 4
2.137  42.29  22  3 -1 1
1.592  57.92  21  3 1 1
1.563  59.09  18  2 2 2
2.131  42.41  17  1 1 3

Structure:
Lattice parameters (Å, degrees): 6.7597 6.7597 8.2393 90.00 90.00 120.00
Space group P312 (No. 149)
Symmetry-distinct sites (fractional):
Cs 0.0000 0.0000 0.0000 x1
Pd 0.6667 0.3333 0.5000 x1
Ru 0.3333 0.6667 0.5000 x1
Br 0.0150 0.3684 0.6719 x6

[2]
Diffraction record for CsTl2PdBr5. The powder XRD pattern is theoretical, not measured: it uses the GGA-PBE geometry in Alexandria and Cu Kα (weighted mean of Kα1 and Kα2).
No peak broadening, texture or thermal motion is included.

Most intense lines, 2θ = 5–70°, most intense first:
d [Å]  2θ (°)  I_rel  h k l
3.220  27.70  100  2 1 3
3.926  22.65  33  2 0 2
2.843  31.47  32  3 1 0
2.516  35.68  28  2 1 5
2.019  44.90  25  0 0 8
1.594  57.84  16  5 2 3
3.178  28.08  16  2 2 0
2.496  35.98  14  2 2 4
4.033  22.04  13  0 0 4
2.163  41.76  12  4 0 2

Structure:
Lattice parameters (Å, degrees): 8.9894 8.9894 16.1340 90.00 90.00 90.00
Space group I4/mcm (No. 140)
Symmetry-distinct sites (fractional):
Cs 0.0000 0.0000 0.2500 x4
Tl 0.1637 0.3363 0.0000 x8
Pd 0.0000 0.5000 0.2500 x4
Br 0.0000 0.0000 0.0000 x4
Br 0.1417 0.3583 0.3604 x16

[3]
Diffraction record for CsPm3Br10. The powder XRD pattern is theoretical, not measured: it uses the GGA-PBE geometry in Alexandria and Cu Kα (weighted mean of Kα1 and Kα2).
No peak broadening, texture or thermal motion is included.

Most intense lines, 2θ = 5–70°, most intense first:
d [Å]  2θ (°)  I_rel  h k l
2.313  38.93  100  6 2 2
2.713  33.02  94  4 4 0
2.953  30.26  79  3 3 3
4.430  20.04  73  2 2 2
1.566  58.98  53  8 4 4
2.594  34.58  45  5 3 1
1.760  51.95  28  6 6 2
1.918  47.40  20  8 0 0
2.558  35.09  18  6 0 0
5.425  16.34  17  2 2 0

Structure:
Lattice parameters (Å, degrees): 15.3452 15.3452 15.3452 90.00 90.00 90.00
Space group Fm-3m (No. 225)
Symmetry-distinct sites (fractional):
Cs 0.2500 0.2500 0.2500 x8
Pm 0.0000 0.0000 0.2401 x24
Br 0.0000 0.1684 0.3316 x48
Br 0.1142 0.1142 0.1142 x32